Calculated powder diffractogram
Compound: Tc6BiO18
Radiation: copper Kα
Structure: DFT lattice parameters and positions (PBE)
Intensities are scaled so that the largest is 100.

Top 12 peaks for 10 to 90 degrees two-theta, by angle:
| 2θ (°) | I_rel |
| --- | --- |
| 11.47 | 16 |
| 12.52 | 26 |
| 14.94 | 87 |
| 18.20 | 11 |
| 18.89 | 10 |
| 28.79 | 30 |
| 30.11 | 100 |
| 34.91 | 28 |
| 50.13 | 14 |
| 50.22 | 20 |
| 59.58 | 13 |
| 59.68 | 19 |

Atomic structure:
```
data_Tc6BiO18
_chemical_formula_sum 'Tc12 Bi2 O36'
_space_group_name_H-M_alt 'P 1'
_space_group_IT_number 1
_cell_length_a 7.2651
_cell_length_b 7.2660
_cell_length_c 16.2458
_cell_angle_alpha 102.78
_cell_angle_beta 102.73
_cell_angle_gamma 90.03
loop_
_space_group_symop_operation_xyz
'x,y,z'
loop_
_atom_site_label
_atom_site_type_symbol
_atom_site_fract_x
_atom_site_fract_y
_atom_site_fract_z
Tc1 Tc 0.0000 0.0000 0.0000
Tc2 Tc 0.0002 0.4868 0.4987
Tc3 Tc 0.1727 0.6611 0.3326
Tc4 Tc 0.3268 0.3182 0.1688
Tc5 Tc 0.3285 0.8180 0.1635
Tc6 Tc 0.3306 0.3187 0.6624
Tc7 Tc 0.5050 0.9942 0.0061
Tc8 Tc 0.6549 0.1537 0.8323
Tc9 Tc 0.6694 0.6356 0.3328
Tc10 Tc 0.6893 0.6544 0.8345
Tc11 Tc 0.8333 0.3130 0.6669
Tc12 Tc 0.9989 0.9848 0.5035
Bi1 Bi 0.2158 0.6572 0.8367
Bi2 Bi 0.6655 0.1152 0.3363
O1 O 0.0068 0.7512 0.5339
O2 O 0.1113 0.3540 0.7223
O3 O 0.1130 0.2102 0.0848
O4 O 0.1189 0.8552 0.0817
O5 O 0.1361 0.5041 0.4176
O6 O 0.1364 0.8685 0.4179
O7 O 0.1879 0.4280 0.2566
O8 O 0.1899 0.8038 0.2535
O9 O 0.2183 0.0992 0.5829
O10 O 0.2203 0.4573 0.5844
O11 O 0.2292 0.9542 0.9442
O12 O 0.3204 0.5593 0.1398
O13 O 0.3628 0.0950 0.2240
O14 O 0.4143 0.5675 0.7550
O15 O 0.4403 0.1804 0.7508
O16 O 0.4413 0.6737 0.3671
O17 O 0.4670 0.2053 0.0867
O18 O 0.4753 0.8455 0.0839
O19 O 0.4971 0.7417 0.9146
O20 O 0.5291 0.1303 0.9174
O21 O 0.5662 0.3036 0.6349
O22 O 0.5702 0.4175 0.2496
O23 O 0.5825 0.8322 0.2551
O24 O 0.6501 0.8802 0.8007
O25 O 0.6815 0.4303 0.8688
O26 O 0.7511 0.9051 0.4135
O27 O 0.7546 0.4981 0.4187
O28 O 0.7659 0.0065 0.0341
O29 O 0.8098 0.1827 0.7541
O30 O 0.8132 0.5614 0.7478
O31 O 0.8623 0.0959 0.5838
O32 O 0.8683 0.4473 0.5833
O33 O 0.8928 0.6356 0.3003
O34 O 0.8974 0.1273 0.9143
O35 O 0.9022 0.7480 0.9211
O36 O 0.9629 0.2016 0.4430
```

Calculated powder diffractogram
Compound: Tc6BiO18
Radiation: copper Kα
Structure: DFT lattice parameters and positions (PBE)
Intensities are scaled so that the largest is 100.

Top 12 peaks for 10 to 90 degrees two-theta, by angle:
| 2θ (°) | I_rel |
| --- | --- |
| 11.52 | 17 |
| 12.57 | 26 |
| 14.99 | 80 |
| 18.26 | 11 |
| 28.92 | 28 |
| 30.24 | 100 |
| 35.06 | 28 |
| 50.41 | 37 |
| 52.90 | 11 |
| 59.93 | 42 |
| 62.89 | 12 |
| 82.09 | 11 |

Atomic structure:
```
data_Tc6BiO18
_chemical_formula_sum 'Tc24 Bi4 O72'
_space_group_name_H-M_alt 'C 1 2/c 1'
_space_group_IT_number 15
_cell_length_a 10.2430
_cell_length_b 10.2331
_cell_length_c 16.1796
_cell_angle_alpha 90.00
_cell_angle_beta 108.34
_cell_angle_gamma 90.00
loop_
_space_group_symop_operation_xyz
'x,y,z'
'-x,-y,-z'
'-x,y,-z+1/2'
'x,-y,z+1/2'
'x+1/2,y+1/2,z'
'-x+1/2,-y+1/2,-z'
'-x+1/2,y+1/2,-z+1/2'
'x+1/2,-y+1/2,z+1/2'
loop_
_atom_site_label
_atom_site_type_symbol
_atom_site_fract_x
_atom_site_fract_y
_atom_site_fract_z
Tc1 Tc 0.0000 0.0000 0.0000
Tc2 Tc 0.0848 0.2502 0.1663
Tc3 Tc 0.1645 0.4991 0.3322
Tc4 Tc 0.2500 0.2500 0.0000
Bi1 Bi 0.2500 0.2500 0.5000
O1 O 0.0000 0.2011 0.2500
O2 O 0.0000 0.4460 0.7500
O3 O 0.0420 0.1297 0.4193
O4 O 0.0744 0.3732 0.3933
O5 O 0.1016 0.1221 0.9625
O6 O 0.1525 0.3741 0.9192
O7 O 0.1635 0.3108 0.0817
O8 O 0.1693 0.0810 0.5790
O9 O 0.1779 0.3750 0.2510
O10 O 0.2226 0.1231 0.1987
```

Calculated powder diffractogram
Compound: Bi2TeO6
Radiation: copper Kα
Structure: DFT lattice parameters and positions (PBE)
Intensities are scaled so that the largest is 100.

Top 12 peaks for 10 to 90 degrees two-theta, by angle:
| 2θ (°) | I_rel |
| --- | --- |
| 10.51 | 9 |
| 28.06 | 100 |
| 31.89 | 16 |
| 32.83 | 30 |
| 35.38 | 7 |
| 46.42 | 27 |
| 47.11 | 17 |
| 54.51 | 17 |
| 55.74 | 31 |
| 58.02 | 12 |
| 74.86 | 13 |
| 87.11 | 10 |

Atomic structure:
```
data_Bi2TeO6
_chemical_formula_sum 'Bi8 Te4 O24'
_space_group_name_H-M_alt 'C m c e'
_space_group_IT_number 64
_space_group_name_Hall '-C 2ac 2'
_cell_length_a 5.4544
_cell_length_b 16.8396
_cell_length_c 5.4576
_cell_angle_alpha 90.00
_cell_angle_beta 90.00
_cell_angle_gamma 90.00
loop_
_atom_site_label
_atom_site_type_symbol
_atom_site_fract_x
_atom_site_fract_y
_atom_site_fract_z
Bi1 Bi 0.0000 0.1732 0.0111
Te1 Te 0.0000 0.0000 0.5000
O1 O 0.0000 0.1092 0.4155
O2 O 0.2500 0.0322 0.7500
O3 O 0.2500 0.2496 0.2500
```

Calculated powder diffractogram
Compound: Bi2TeO5
Radiation: copper Kα
Structure: DFT lattice parameters and positions (PBE)
Intensities are scaled so that the largest is 100.

Top 12 peaks for 10 to 90 degrees two-theta, by angle:
| 2θ (°) | I_rel |
| --- | --- |
| 27.17 | 100 |
| 30.51 | 14 |
| 31.94 | 28 |
| 44.76 | 28 |
| 45.80 | 15 |
| 52.22 | 15 |
| 54.07 | 30 |
| 56.03 | 12 |
| 71.95 | 11 |
| 73.50 | 6 |
| 75.94 | 5 |
| 84.00 | 9 |

Atomic structure:
```
data_Bi2TeO5
_chemical_formula_sum 'Bi16 Te8 O40'
_space_group_name_H-M_alt 'A e m 2'
_space_group_IT_number 39
_cell_length_a 11.7185
_cell_length_b 16.7996
_cell_length_c 5.6078
_cell_angle_alpha 90.00
_cell_angle_beta 90.00
_cell_angle_gamma 90.00
loop_
_space_group_symop_operation_xyz
'x,y,z'
'-x,-y,z'
'-x,y+1/2,z'
'x,-y+1/2,z'
'x,y+1/2,z+1/2'
'-x,-y+1/2,z+1/2'
'-x,y,z+1/2'
'x,-y,z+1/2'
loop_
_atom_site_label
_atom_site_type_symbol
_atom_site_fract_x
_atom_site_fract_y
_atom_site_fract_z
Bi1 Bi 0.1075 0.0846 0.0000
Bi2 Bi 0.1170 0.2500 0.5336
Bi3 Bi 0.3702 0.2500 0.0193
Te1 Te 0.3675 0.0838 0.5060
O1 O 0.0000 0.0000 0.2911
O2 O 0.0147 0.1606 0.7269
O3 O 0.2037 0.2500 0.8859
O4 O 0.2425 0.0423 0.6775
O5 O 0.2869 0.1591 0.3162
O6 O 0.4330 0.1509 0.7458
```

Calculated powder diffractogram
Compound: Bi5Te3O18
Radiation: copper Kα
Structure: DFT lattice parameters and positions (PBE)
Intensities are scaled so that the largest is 100.

Top 12 peaks for 10 to 90 degrees two-theta, by angle:
| 2θ (°) | I_rel |
| --- | --- |
| 13.00 | 27 |
| 13.84 | 57 |
| 19.25 | 27 |
| 21.54 | 100 |
| 23.01 | 41 |
| 27.90 | 37 |
| 28.33 | 65 |
| 30.74 | 55 |
| 31.99 | 38 |
| 33.00 | 39 |
| 33.72 | 39 |
| 38.04 | 24 |

Atomic structure:
```
data_Bi5Te3O18
_chemical_formula_sum 'Bi20 Te12 O72'
_space_group_name_H-M_alt 'C 1 2 1'
_space_group_IT_number 5
_cell_length_a 16.0906
_cell_length_b 9.2549
_cell_length_c 11.7296
_cell_angle_alpha 90.00
_cell_angle_beta 97.64
_cell_angle_gamma 90.00
loop_
_space_group_symop_operation_xyz
'x,y,z'
'-x,y,-z'
'x+1/2,y+1/2,z'
'-x+1/2,y+1/2,-z'
loop_
_atom_site_label
_atom_site_type_symbol
_atom_site_fract_x
_atom_site_fract_y
_atom_site_fract_z
Bi1 Bi 0.0000 0.0000 0.0000
Bi2 Bi 0.0000 0.4059 0.5000
Bi3 Bi 0.1266 0.9345 0.7677
Bi4 Bi 0.1339 0.5226 0.2842
Bi5 Bi 0.1624 0.3546 0.0052
Bi6 Bi 0.1647 0.0709 0.4769
Te1 Te 0.0040 0.2287 0.2433
Te2 Te 0.1601 0.7227 0.5518
Te3 Te 0.1680 0.7030 0.0419
O1 O 0.0166 0.4248 0.7110
O2 O 0.0328 0.0373 0.2004
O3 O 0.0762 0.1430 0.6643
O4 O 0.0758 0.2127 0.9046
O5 O 0.0894 0.7370 0.6700
O6 O 0.0914 0.2446 0.3792
O7 O 0.0910 0.3288 0.1544
O8 O 0.0910 0.5719 0.4699
O9 O 0.0962 0.8456 0.9561
O10 O 0.0987 0.8620 0.4456
O11 O 0.1015 0.7065 0.1650
O12 O 0.1036 0.5511 0.9500
O13 O 0.2188 0.9037 0.6280
O14 O 0.2280 0.5252 0.1235
O15 O 0.2332 0.7043 0.4267
O16 O 0.2386 0.5874 0.6348
O17 O 0.2418 0.7102 0.9165
O18 O 0.2496 0.3382 0.8812
```

Calculated powder diffractogram
Compound: TiBi2O6
Radiation: copper Kα
Structure: DFT lattice parameters and positions (PBE)
Intensities are scaled so that the largest is 100.

Top 12 peaks for 10 to 90 degrees two-theta, by angle:
| 2θ (°) | I_rel |
| --- | --- |
| 18.23 | 64 |
| 23.43 | 50 |
| 29.85 | 100 |
| 33.38 | 35 |
| 38.29 | 42 |
| 44.21 | 34 |
| 47.92 | 21 |
| 50.63 | 26 |
| 51.69 | 18 |
| 54.01 | 12 |
| 57.48 | 33 |
| 67.23 | 19 |

Atomic structure:
```
data_TiBi2O6
_chemical_formula_sum 'Ti2 Bi4 O12'
_space_group_name_H-M_alt 'I 4 m m'
_space_group_IT_number 107
_space_group_name_Hall 'I 4 -2'
_cell_length_a 5.3693
_cell_length_b 5.3693
_cell_length_c 9.7345
_cell_angle_alpha 90.00
_cell_angle_beta 90.00
_cell_angle_gamma 90.00
loop_
_atom_site_label
_atom_site_type_symbol
_atom_site_fract_x
_atom_site_fract_y
_atom_site_fract_z
Ti1 Ti 0.0000 0.0000 0.0000
Bi1 Bi 0.0000 0.5000 0.1957
O1 O 0.0000 0.0000 0.2749
O2 O 0.0000 0.0000 0.8161
O3 O 0.2408 0.2408 0.0704
```